# Nd3Pt2Rh7
Simulated powder X-ray diffraction pattern, CuKα. Input: a GGA-PBE-relaxed structure.
Kinematic intensities with the Lorentz-polarization factor, no thermal factor.

Most intense lines, 2θ from 10° to 80°, by angle:
- (1 1 0), 2.677 Å, 33.5 deg, I 39
- (0 2 1), 2.310 Å, 39.0 deg, I 21
- (1 1 6), 2.293 Å, 39.3 deg, I 100
- (2 0 5), 2.126 Å, 42.5 deg, I 26
- (3 0 6), 1.460 Å, 63.7 deg, I 24
- (2 2 0), 1.339 Å, 70.3 deg, I 22

```
data_Nd3Pt2Rh7
_chemical_formula_sum 'Nd9 Pt6 Rh21'
_symmetry_space_group_name_H-M 'R -3 m'
_symmetry_Int_Tables_number 166
_symmetry_space_group_name_Hall '-R 3 2"'
_cell_length_a 5.3547
_cell_length_b 5.3547
_cell_length_c 26.6587
_cell_angle_alpha 90.00
_cell_angle_beta 90.00
_cell_angle_gamma 120.00
loop_
_atom_site_label
_atom_site_type_symbol
_atom_site_fract_x
_atom_site_fract_y
_atom_site_fract_z
Nd1 Nd 0.0000 0.0000 0.0000
Nd2 Nd 0.0000 0.0000 0.1394
Pt1 Pt 0.0000 0.0000 0.3329
Rh1 Rh 0.0000 0.0000 0.5000
Rh2 Rh 0.0008 0.5004 0.9170
```



# Tb2HoEr2Th2
Simulated powder X-ray diffraction pattern, CuKα. Input: a GGA-PBE-relaxed structure.
Kinematic intensities with the Lorentz-polarization factor, no thermal factor.

Most intense lines, 2θ from 10° to 80°, by angle:
- (3 1 -1), 2.944 Å, 30.4 deg, I 41
- (2 0 2), 2.846 Å, 31.4 deg, I 51
- (4 0 -3), 2.832 Å, 31.6 deg, I 100
- (6 0 -1), 2.713 Å, 33.0 deg, I 44
- (1 1 -2), 2.696 Å, 33.2 deg, I 43
- (2 2 2), 1.489 Å, 62.4 deg, I 29

```
data_Tb2HoEr2Th2
_chemical_formula_sum 'Tb4 Ho2 Er4 Th4'
_symmetry_space_group_name_H-M 'C 1 2/m 1'
_symmetry_Int_Tables_number 12
_cell_length_a 16.6001
_cell_length_b 3.4960
_cell_length_c 8.7496
_cell_angle_alpha 90.00
_cell_angle_beta 119.37
_cell_angle_gamma 90.00
loop_
_symmetry_equiv_pos_as_xyz
'x,y,z'
'-x,-y,-z'
'-x,y,-z'
'x,-y,z'
'x+1/2,y+1/2,z'
'-x+1/2,-y+1/2,-z'
'-x+1/2,y+1/2,-z'
'x+1/2,-y+1/2,z'
loop_
_atom_site_label
_atom_site_type_symbol
_atom_site_fract_x
_atom_site_fract_y
_atom_site_fract_z
Tb1 Tb 0.2075 0.0000 0.2891
Ho1 Ho 0.0000 0.5000 0.0000
Er1 Er 0.0674 0.5000 0.4222
Th1 Th 0.1446 0.0000 0.8400
```



# KGaPb
Simulated powder X-ray diffraction pattern, CuKα. Input: a GGA-PBE-relaxed structure.
Kinematic intensities with the Lorentz-polarization factor, no thermal factor.

Most intense lines, 2θ from 10° to 80°, by angle:
- (0 0 2), 5.599 Å, 15.8 deg, I 96
- (1 0 1), 3.851 Å, 23.1 deg, I 55
- (1 0 2), 3.309 Å, 26.9 deg, I 100
- (1 1 0), 2.368 Å, 38.0 deg, I 63
- (1 1 2), 2.181 Å, 41.4 deg, I 56
- (1 1 4), 1.808 Å, 50.5 deg, I 56

```
data_KGaPb
_chemical_formula_sum 'K2 Ga2 Pb2'
_symmetry_space_group_name_H-M 'P 63/m m c'
_symmetry_Int_Tables_number 194
_symmetry_space_group_name_Hall '-P 6c 2c'
_cell_length_a 4.7359
_cell_length_b 4.7359
_cell_length_c 11.1980
_cell_angle_alpha 90.00
_cell_angle_beta 90.00
_cell_angle_gamma 120.00
loop_
_atom_site_label
_atom_site_type_symbol
_atom_site_fract_x
_atom_site_fract_y
_atom_site_fract_z
K1 K 0.0000 0.0000 0.0000
Ga1 Ga 0.3333 0.6667 0.2500
Pb1 Pb 0.3333 0.6667 0.7500
```



# PmPr2Dy2Y4
Simulated powder X-ray diffraction pattern, CuKα. Input: a GGA-PBE-relaxed structure.
Kinematic intensities with the Lorentz-polarization factor, no thermal factor.

Most intense lines, 2θ from 10° to 80°, by angle:
- (6 0 -1), 3.126 Å, 28.6 deg, I 45
- (0 0 3), 2.900 Å, 30.8 deg, I 49
- (3 1 -2), 2.835 Å, 31.6 deg, I 100
- (3 1 1), 2.696 Å, 33.2 deg, I 92
- (0 2 0), 1.818 Å, 50.2 deg, I 38
- (9 1 1), 1.540 Å, 60.1 deg, I 44

```
data_PmPr2Dy2Y4
_chemical_formula_sum 'Pm2 Pr4 Dy4 Y8'
_symmetry_space_group_name_H-M 'C 1 2/m 1'
_symmetry_Int_Tables_number 12
_cell_length_a 18.8759
_cell_length_b 3.6380
_cell_length_c 9.6566
_cell_angle_alpha 90.00
_cell_angle_beta 115.72
_cell_angle_gamma 90.00
loop_
_symmetry_equiv_pos_as_xyz
'x,y,z'
'-x,-y,-z'
'-x,y,-z'
'x,-y,z'
'x+1/2,y+1/2,z'
'-x+1/2,-y+1/2,-z'
'-x+1/2,y+1/2,-z'
'x+1/2,-y+1/2,z'
loop_
_atom_site_label
_atom_site_type_symbol
_atom_site_fract_x
_atom_site_fract_y
_atom_site_fract_z
Pm1 Pm 0.0000 0.0000 0.0000
Pr1 Pr 0.1660 0.5000 0.9980
Dy1 Dy 0.1475 0.0000 0.6630
Y1 Y 0.0195 0.5000 0.3368
Y2 Y 0.1861 0.0000 0.3361
```



# Nb2ClO4
Simulated powder X-ray diffraction pattern, CuKα. Input: a GGA-PBE-relaxed structure.
Kinematic intensities with the Lorentz-polarization factor, no thermal factor.

Most intense lines, 2θ from 10° to 80°, by angle:
- (0 1 0), 6.096 Å, 14.5 deg, I 71
- (1 0 0), 5.974 Å, 14.8 deg, I 66
- (0 1 1), 5.648 Å, 15.7 deg, I 100
- (1 0 1), 5.480 Å, 16.2 deg, I 90
- (0 2 0), 3.048 Å, 29.3 deg, I 58
- (2 0 0), 2.988 Å, 29.9 deg, I 69

```
data_Nb2ClO4
_chemical_formula_sum 'Nb4 Cl2 O8'
_symmetry_space_group_name_H-M 'P 1'
_symmetry_Int_Tables_number 1
_cell_length_a 6.6088
_cell_length_b 6.8247
_cell_length_c 7.3105
_cell_angle_alpha 63.43
_cell_angle_beta 64.85
_cell_angle_gamma 81.46
loop_
_symmetry_equiv_pos_as_xyz
'x,y,z'
loop_
_atom_site_label
_atom_site_type_symbol
_atom_site_fract_x
_atom_site_fract_y
_atom_site_fract_z
Nb1 Nb 0.0000 0.0000 0.0000
Nb2 Nb 0.0040 0.5051 0.1005
Nb3 Nb 0.4696 0.9932 0.4665
Nb4 Nb 0.9447 0.0291 0.6119
Cl1 Cl 0.3840 0.5875 0.7632
Cl2 Cl 0.5693 0.3959 0.2594
O1 O 0.0478 0.2405 0.0487
O2 O 0.1330 0.7353 0.1279
O3 O 0.2023 0.9186 0.4431
O4 O 0.2153 0.0981 0.6863
O5 O 0.6729 0.9722 0.2026
O6 O 0.6846 0.9557 0.5993
O7 O 0.8903 0.7577 0.9167
O8 O 0.9454 0.3372 0.4156
```



# La3C3Cl2
Simulated powder X-ray diffraction pattern, CuKα. Input: a GGA-PBE-relaxed structure.
Kinematic intensities with the Lorentz-polarization factor, no thermal factor.

Most intense lines, 2θ from 10° to 80°, by angle:
- (1 0 0), 7.607 Å, 11.6 deg, I 50
- (0 3 1), 3.653 Å, 24.4 deg, I 95
- (2 2 -1), 3.222 Å, 27.7 deg, I 49
- (1 3 1), 3.141 Å, 28.4 deg, I 89
- (1 0 2), 2.840 Å, 31.5 deg, I 100
- (2 3 -1), 2.820 Å, 31.7 deg, I 93

```
data_La3C3Cl2
_chemical_formula_sum 'La12 C12 Cl8'
_symmetry_space_group_name_H-M 'P 1 21/c 1'
_symmetry_Int_Tables_number 14
_cell_length_a 7.8257
_cell_length_b 13.0480
_cell_length_c 6.9258
_cell_angle_alpha 90.00
_cell_angle_beta 103.59
_cell_angle_gamma 90.00
loop_
_symmetry_equiv_pos_as_xyz
'x,y,z'
'-x,-y,-z'
'-x,y+1/2,-z+1/2'
'x,-y+1/2,z+1/2'
loop_
_atom_site_label
_atom_site_type_symbol
_atom_site_fract_x
_atom_site_fract_y
_atom_site_fract_z
La1 La 0.1156 0.1784 0.3647
La2 La 0.1893 0.0085 0.8744
La3 La 0.2642 0.6499 0.8617
C1 C 0.0072 0.6325 0.5286
C2 C 0.0580 0.5302 0.9702
C3 C 0.1153 0.7045 0.4785
Cl1 Cl 0.3805 0.1859 0.7580
Cl2 Cl 0.4474 0.0569 0.2597
```



# AcSn2IrRh4
Simulated powder X-ray diffraction pattern, CuKα. Input: a GGA-PBE-relaxed structure.
Kinematic intensities with the Lorentz-polarization factor, no thermal factor.

Most intense lines, 2θ from 10° to 80°, by angle:
- (0 1 8), 2.511 Å, 35.8 deg, I 83
- (1 1 0), 2.251 Å, 40.0 deg, I 100
- (1 0 10), 2.178 Å, 41.5 deg, I 21
- (0 1 11), 2.036 Å, 44.5 deg, I 18
- (2 0 8), 1.676 Å, 54.8 deg, I 25
- (1 2 8), 1.345 Å, 70.0 deg, I 24

```
data_AcSn2IrRh4
_chemical_formula_sum 'Ac3 Sn6 Ir3 Rh12'
_symmetry_space_group_name_H-M 'R -3 m'
_symmetry_Int_Tables_number 166
_symmetry_space_group_name_Hall '-R 3 2"'
_cell_length_a 4.5027
_cell_length_b 4.5027
_cell_length_c 26.2574
_cell_angle_alpha 90.00
_cell_angle_beta 90.00
_cell_angle_gamma 120.00
loop_
_atom_site_label
_atom_site_type_symbol
_atom_site_fract_x
_atom_site_fract_y
_atom_site_fract_z
Ac1 Ac 0.0000 0.0000 0.0000
Sn1 Sn 0.0000 0.0000 0.2327
Ir1 Ir 0.0000 0.0000 0.5000
Rh1 Rh 0.0000 0.0000 0.1267
Rh2 Rh 0.0000 0.0000 0.4004
```



# Li3InAu6
Simulated powder X-ray diffraction pattern, CuKα. Input: a GGA-PBE-relaxed structure.
Kinematic intensities with the Lorentz-polarization factor, no thermal factor.

Most intense lines, 2θ from 10° to 80°, by angle:
- (1 1 -2), 3.152 Å, 28.3 deg, I 63
- (1 1 3), 2.321 Å, 38.8 deg, I 94
- (3 1 -1), 2.309 Å, 39.0 deg, I 100
- (0 2 0), 2.235 Å, 40.3 deg, I 53
- (2 0 -4), 2.223 Å, 40.6 deg, I 46
- (2 2 -4), 1.576 Å, 58.6 deg, I 32

```
data_Li3InAu6
_chemical_formula_sum 'Li6 In2 Au12'
_symmetry_space_group_name_H-M 'P 1 21/m 1'
_symmetry_Int_Tables_number 11
_cell_length_a 8.1165
_cell_length_b 4.4708
_cell_length_c 9.5443
_cell_angle_alpha 90.00
_cell_angle_beta 101.88
_cell_angle_gamma 90.00
loop_
_symmetry_equiv_pos_as_xyz
'x,y,z'
'-x,-y,-z'
'-x,y+1/2,-z'
'x,-y+1/2,z'
loop_
_atom_site_label
_atom_site_type_symbol
_atom_site_fract_x
_atom_site_fract_y
_atom_site_fract_z
Li1 Li 0.0445 0.2500 0.3972
Li2 Li 0.1483 0.7500 0.1799
Li3 Li 0.2469 0.2500 0.9780
In1 In 0.4344 0.2500 0.6091
Au1 Au 0.0311 0.7500 0.8972
Au2 Au 0.1110 0.2500 0.6890
Au3 Au 0.2350 0.7500 0.4685
Au4 Au 0.3233 0.2500 0.2730
Au5 Au 0.3356 0.7500 0.7915
Au6 Au 0.4365 0.7500 0.0890
```



# RbZn2HSe2O7
Simulated powder X-ray diffraction pattern, CuKα. Input: a GGA-PBE-relaxed structure.
Kinematic intensities with the Lorentz-polarization factor, no thermal factor.

Most intense lines, 2θ from 10° to 80°, by angle:
- (0 1 3), 3.566 Å, 25.0 deg, I 63
- (1 0 -2), 3.418 Å, 26.1 deg, I 100
- (1 1 3), 3.393 Å, 26.3 deg, I 46
- (1 1 -2), 3.308 Å, 27.0 deg, I 89
- (1 2 2), 3.237 Å, 27.6 deg, I 39
- (2 1 1), 2.545 Å, 35.3 deg, I 72

```
data_RbZn2HSe2O7
_chemical_formula_sum 'Rb2 Zn4 H2 Se4 O14'
_symmetry_space_group_name_H-M 'P -1'
_symmetry_Int_Tables_number 2
_cell_length_a 5.0896
_cell_length_b 7.5811
_cell_length_c 12.0384
_cell_angle_alpha 81.52
_cell_angle_beta 78.18
_cell_angle_gamma 70.87
loop_
_symmetry_equiv_pos_as_xyz
'x,y,z'
'-x,-y,-z'
loop_
_atom_site_label
_atom_site_type_symbol
_atom_site_fract_x
_atom_site_fract_y
_atom_site_fract_z
Rb1 Rb 0.1673 0.3703 0.2886
Zn1 Zn 0.2025 0.0017 0.6478
Zn2 Zn 0.2115 0.7149 0.9259
H1 H 0.0689 0.0400 0.8512
Se1 Se 0.3797 0.2672 0.9031
Se2 Se 0.3801 0.7410 0.4327
O1 O 0.0445 0.2410 0.9262
O2 O 0.0577 0.7531 0.4000
O3 O 0.1094 0.9271 0.8109
O4 O 0.3050 0.7618 0.5783
O5 O 0.3203 0.4935 0.8374
O6 O 0.4114 0.2913 0.0392
O7 O 0.4160 0.9548 0.3741
```



# LaTb6Y12
Simulated powder X-ray diffraction pattern, CuKα. Input: a GGA-PBE-relaxed structure.
Kinematic intensities with the Lorentz-polarization factor, no thermal factor.

Most intense lines, 2θ from 10° to 80°, by angle:
- (3 2 1), 2.921 Å, 30.6 deg, I 100
- (5 -3 2), 2.530 Å, 35.5 deg, I 50
- (3 2 4), 1.789 Å, 51.1 deg, I 35
- (1 7 3), 1.526 Å, 60.7 deg, I 42
- (6 4 2), 1.461 Å, 63.7 deg, I 12
- (10 -6 4), 1.265 Å, 75.1 deg, I 6

```
data_LaTb6Y12
_chemical_formula_sum 'La3 Tb18 Y36'
_symmetry_space_group_name_H-M 'R -3'
_symmetry_Int_Tables_number 148
_symmetry_space_group_name_Hall '-R 3'
_cell_length_a 15.5945
_cell_length_b 15.5945
_cell_length_c 8.7653
_cell_angle_alpha 90.00
_cell_angle_beta 90.00
_cell_angle_gamma 120.00
loop_
_atom_site_label
_atom_site_type_symbol
_atom_site_fract_x
_atom_site_fract_y
_atom_site_fract_z
La1 La 0.0000 0.0000 0.0000
Tb1 Tb 0.0355 0.2808 0.3328
Y1 Y 0.0175 0.1414 0.6650
Y2 Y 0.0688 0.5608 0.6677
```



# BaErSc4Se8
Simulated powder X-ray diffraction pattern, CuKα. Input: a GGA-PBE-relaxed structure.
Kinematic intensities with the Lorentz-polarization factor, no thermal factor.

Most intense lines, 2θ from 10° to 80°, by angle:
- (1 0 1), 6.737 Å, 13.1 deg, I 41
- (1 1 0), 4.112 Å, 21.6 deg, I 44
- (1 1 3), 3.536 Å, 25.2 deg, I 68
- (0 2 4), 2.937 Å, 30.4 deg, I 100
- (2 0 8), 2.098 Å, 43.1 deg, I 72
- (2 2 0), 2.056 Å, 44.0 deg, I 76

```
data_BaErSc4Se8
_chemical_formula_sum 'Ba3 Er3 Sc12 Se24'
_symmetry_space_group_name_H-M 'R 3 m'
_symmetry_Int_Tables_number 160
_symmetry_space_group_name_Hall 'R 3 -2"'
_cell_length_a 8.2243
_cell_length_b 8.2243
_cell_length_c 20.7738
_cell_angle_alpha 90.00
_cell_angle_beta 90.00
_cell_angle_gamma 120.00
loop_
_atom_site_label
_atom_site_type_symbol
_atom_site_fract_x
_atom_site_fract_y
_atom_site_fract_z
Ba1 Ba 0.0000 0.0000 0.0000
Er1 Er 0.0000 0.0000 0.6346
Sc1 Sc 0.0000 0.0000 0.2586
Sc2 Sc 0.1675 0.3349 0.4648
Se1 Se 0.0000 0.0000 0.3888
Se2 Se 0.0000 0.0000 0.8584
Se3 Se 0.0446 0.5223 0.3931
Se4 Se 0.1738 0.3476 0.2126
```



# Th5Ga2C
Simulated powder X-ray diffraction pattern, CuKα. Input: a GGA-PBE-relaxed structure.
Kinematic intensities with the Lorentz-polarization factor, no thermal factor.

Most intense lines, 2θ from 10° to 80°, by angle:
- (1 3 0), 3.463 Å, 25.7 deg, I 38
- (0 4 0), 3.164 Å, 28.2 deg, I 40
- (1 1 3), 3.124 Å, 28.6 deg, I 100
- (2 0 0), 3.032 Å, 29.5 deg, I 95
- (1 3 3), 2.561 Å, 35.0 deg, I 73
- (0 4 3), 2.433 Å, 36.9 deg, I 36

```
data_Th5Ga2C
_chemical_formula_sum 'Th20 Ga8 C4'
_symmetry_space_group_name_H-M 'C m c m'
_symmetry_Int_Tables_number 63
_symmetry_space_group_name_Hall '-C 2c 2'
_cell_length_a 6.0632
_cell_length_b 12.6551
_cell_length_c 11.4190
_cell_angle_alpha 90.00
_cell_angle_beta 90.00
_cell_angle_gamma 90.00
loop_
_atom_site_label
_atom_site_type_symbol
_atom_site_fract_x
_atom_site_fract_y
_atom_site_fract_z
Th1 Th 0.0000 0.0770 0.1042
Th2 Th 0.0000 0.3472 0.0843
Th3 Th 0.0000 0.3766 0.7500
Ga1 Ga 0.0000 0.1675 0.6346
C1 C 0.0000 0.2149 0.2500
```